[1]
Theoretical PXRD pattern
Compound: TeMoWS3
Radiation: λ = 1.5418 Å (Cu Kα)
Structure: DFT lattice parameters and positions (GGA-PBE)
No peak broadening, texture or thermal motion is included.

Most intense lines, 2θ = 10–80°, low angle first:
2θ/deg	d [Å]	I (rel.)	(hkl)
11.2	7.932	100.0	0 0 5
13.4	6.610	17.0	0 0 6
31.6	2.833	31.4	1 0 0
33.6	2.670	11.3	1 0 5
35.4	2.535	13.2	0 1 7
36.5	2.461	51.1	1 0 8
37.7	2.384	11.9	1 0 9
43.6	2.077	34.4	0 1 13
45.3	2.004	10.1	1 0 14
56.2	1.636	19.8	1 1 0
57.5	1.603	9.1	1 1 5
77.1	1.237	8.1	1 1 21

Cell: 3.2737 3.2737 39.6595 Å, 90.00 90.00 120.00°
Sites, in units of the cell vectors:
Te (0.0000, 0.0000, 0.0000)
Te (0.0000, 0.0000, 0.0979)
Mo (0.0000, 0.0000, 0.8603)
Mo (0.6667, 0.3333, 0.6733)
W (0.0000, 0.0000, 0.2396)
W (0.6667, 0.3333, 0.0490)
S (0.0000, 0.0000, 0.6345)
S (0.0000, 0.0000, 0.7121)
S (0.6667, 0.3333, 0.2007)
S (0.6667, 0.3333, 0.2785)
S (0.6667, 0.3333, 0.8215)
S (0.6667, 0.3333, 0.8991)



[2]
Theoretical PXRD pattern
Compound: Te6MoW3S2
Radiation: λ = 1.5418 Å (Cu Kα)
Structure: DFT lattice parameters and positions (GGA-PBE)
No peak broadening, texture or thermal motion is included.

Most intense lines, 2θ = 10–80°, low angle first:
2θ/deg	d [Å]	I (rel.)	(hkl)
11.2	7.888	100.0	0 0 5
29.9	2.990	53.5	1 0 0
32.0	2.798	14.8	1 0 5
33.9	2.643	12.2	0 1 7
35.1	2.558	98.6	1 0 8
36.4	2.470	21.6	0 0 16
42.4	2.130	56.2	0 1 13
44.2	2.051	17.7	1 0 14
53.0	1.727	37.3	1 1 0
65.2	1.432	16.2	0 2 8
70.1	1.342	12.6	2 0 13
74.6	1.271	17.5	1 1 21

Cell: 3.4551 3.4551 39.4411 Å, 90.00 90.00 120.00°
Sites, in units of the cell vectors:
Te (0.0000, 0.0000, 0.0000)
Te (0.0000, 0.0000, 0.0939)
Te (0.0000, 0.0000, 0.3757)
Te (0.0000, 0.0000, 0.4700)
Te (0.3333, 0.6667, 0.1877)
Te (0.3333, 0.6667, 0.2820)
Mo (0.3333, 0.6667, 0.0469)
W (0.0000, 0.0000, 0.2349)
W (0.0000, 0.0000, 0.8592)
W (0.3333, 0.6667, 0.4229)
S (0.3333, 0.6667, 0.8214)
S (0.3333, 0.6667, 0.8969)